No. 1
Starting from a cell relaxed with PBE, the powder diffraction line list of LaZnPdPt3 was computed for λ = 1.5418 Å (Cu Kα).

Main lines, in order of rising 2θ (10° ≤ 2θ ≤ 90°):
h k l	d (Å)	intensity
0 2 0	6.047	58
2 2 0	2.930	67
0 4 1	2.678	26
0 2 2	2.605	66
1 1 2	2.590	27
2 4 0	2.244	45
3 1 0	2.196	27
2 0 2	2.187	100
1 5 1	2.117	29
0 4 2	2.089	72
2 6 2	1.482	17
3 5 2	1.426	20

Cell and atoms:
Lattice parameters (Å, degrees): 6.6997 12.0934 5.7732 90.00 90.00 90.00
Space group Cmcm (No. 63)
Asymmetric unit:
La 0.0000 0.2019 0.2500 (multiplicity 4)
Zn 0.0000 0.1424 0.7500 (multiplicity 4)
Pd 0.0000 0.4177 0.2500 (multiplicity 4)
Pt 0.0000 0.3482 0.7500 (multiplicity 4)
Pt 0.2010 0.0000 0.0000 (multiplicity 8)


No. 2
Starting from a cell relaxed with PBE, the powder diffraction line list of Sn2Sb2Au7 was computed for λ = 1.5418 Å (Cu Kα).

Main lines, in order of rising 2θ (10° ≤ 2θ ≤ 90°):
h k l	d (Å)	intensity
1 1 -1	4.697	19
1 3 0	3.499	25
1 3 -1	3.082	13
0 4 0	2.889	84
2 0 -2	2.571	74
2 2 1	2.270	100
4 2 -1	2.264	97
2 4 -2	1.920	53
2 6 1	1.517	39
0 2 3	1.420	23
6 2 -3	1.416	23
6 4 0	1.263	13

Cell and atoms:
Lattice parameters (Å, degrees): 9.8553 11.5540 5.1416 90.00 121.25 90.00
Space group C2/m (No. 12)
Asymmetric unit:
Sn 0.1859 0.0000 0.1863 (multiplicity 4)
Sb 0.0000 0.2856 0.0000 (multiplicity 4)
Au 0.0000 0.0000 0.5000 (multiplicity 2)
Au 0.1672 0.2665 0.6672 (multiplicity 8)
Au 0.1681 0.5000 0.1678 (multiplicity 4)


No. 3
Starting from a cell relaxed with PBE, the powder diffraction line list of Rb2TeAsSe4 was computed for λ = 1.5418 Å (Cu Kα).

Main lines, in order of rising 2θ (10° ≤ 2θ ≤ 90°):
h k l	d (Å)	intensity
1 1 0	7.481	16
1 1 -1	6.984	18
0 0 2	3.280	100
0 4 0	3.069	86
4 0 -2	3.045	92
4 0 0	2.359	34
0 4 2	2.241	60
4 4 -2	2.162	57
4 0 -4	2.123	31
4 4 0	1.870	26
4 4 -4	1.746	29
8 0 -4	1.523	13

Cell and atoms:
Lattice parameters (Å, degrees): 12.2496 12.2743 8.5157 90.00 129.62 90.00
Space group C2/c (No. 15)
Asymmetric unit:
Rb 0.0000 0.0000 0.0000 (multiplicity 4)
Rb 0.2500 0.2500 0.0000 (multiplicity 4)
Te 0.2500 0.2500 0.5000 (multiplicity 4)
As 0.0000 0.5000 0.0000 (multiplicity 4)
Se 0.0208 0.2745 0.4976 (multiplicity 8)
Se 0.1974 0.4819 0.4316 (multiplicity 8)


No. 4
Starting from a cell relaxed with PBE, the powder diffraction line list of Er3Zn3Ag2 was computed for λ = 1.5418 Å (Cu Kα).

Main lines, in order of rising 2θ (10° ≤ 2θ ≤ 90°):
h k l	d (Å)	intensity
1 0 0	6.200	10
1 1 0	3.580	18
1 1 1	2.651	100
2 0 1	2.438	29
2 1 0	2.344	29
3 0 0	2.067	19
0 0 2	1.973	15
3 1 1	1.576	14
2 1 2	1.509	14
3 0 2	1.427	11
3 2 1	1.338	10
4 1 1	1.280	11

Cell and atoms:
Lattice parameters (Å, degrees): 7.1597 7.1597 3.9456 90.00 90.00 120.00
Space group P-62m (No. 189)
Asymmetric unit:
Er 0.0000 0.3871 0.0000 (multiplicity 3)
Zn 0.0000 0.7752 0.5000 (multiplicity 3)
Ag 0.3333 0.6667 0.5000 (multiplicity 2)